The following is a computed X-ray powder pattern of MgTiSi2O6. It was derived from a DFT-relaxed cell (GGA-PBE, the Materials Project), using Cu Kα.
Intensities are scaled so that the largest is 1000.

Structure:
```
data_MgTiSi2O6
_chemical_formula_sum 'Mg4 Ti4 Si8 O24'
_symmetry_space_group_name_H-M 'C 1 2/c 1'
_symmetry_Int_Tables_number 15
_cell_length_a 9.938
_cell_length_b 9.194
_cell_length_c 5.221
_cell_angle_alpha 90.00
_cell_angle_beta 106.72
_cell_angle_gamma 90.00
loop_
_symmetry_equiv_pos_as_xyz
'x,y,z'
'-x,-y,-z'
'-x,y,-z+1/2'
'x,-y,z+1/2'
'x+1/2,y+1/2,z'
'-x+1/2,-y+1/2,-z'
'-x+1/2,y+1/2,-z+1/2'
'x+1/2,-y+1/2,z+1/2'
loop_
_atom_site_label
_atom_site_fract_x
_atom_site_fract_y
_atom_site_fract_z
Mg1 0.000 0.242 0.250
Ti1 0.000 0.418 0.750
Si1 0.200 0.092 0.746
O1 0.117 0.240 0.630
O2 0.127 0.397 0.159
O3 0.150 0.033 0.005
```

Largest 10 diffraction maxima, low angle first, 15° ≤ 2θ ≤ 90°:
2theta, intensity
26.34, 248
29.25, 1000
29.79, 899
34.19, 654
35.41, 415
35.92, 396
41.33, 366
55.27, 268
56.66, 252
64.78, 427